For Sb7Pd20, a crystal structure in OQMD, relaxed with PBE gives the simulated powder diffractogram in this record (CuKα).

Most intense lines, 5° ≤ 2θ ≤ 70°, low angle first:
| index | 2θ/deg | I (rel.) |
| --- | --- | --- |
| 3 1 2 | 35.41 | 9 |
| 0 2 4 | 36.73 | 16 |
| 0 4 2 | 38.63 | 11 |
| 3 -1 4 | 39.86 | 87 |
| 4 1 0 | 40.26 | 100 |
| 1 3 4 | 45.57 | 16 |
| 5 -4 3 | 47.40 | 8 |
| 2 4 4 | 57.94 | 12 |
| 7 -3 4 | 64.58 | 7 |
| 8 -3 2 | 65.86 | 7 |

Crystal structure
```
data_Sb7Pd20
_cell_length_a 11.8538
_cell_length_b 11.8538
_cell_length_c 11.1347
_cell_angle_alpha 90.00
_cell_angle_beta 90.00
_cell_angle_gamma 120.00
_symmetry_space_group_name_H-M 'R -3'
_symmetry_Int_Tables_number 148
_symmetry_space_group_name_Hall '-R 3'
loop_
_atom_site_label
_atom_site_type_symbol
_atom_site_fract_x
_atom_site_fract_y
_atom_site_fract_z
_atom_site_occupancy
Sb1 Sb 0.0000 0.0000 0.0000 1
Sb2 Sb 0.0387 0.8081 0.6848 1
Pd1 Pd 0.0000 0.0000 0.3775 1
Pd2 Pd 0.0288 0.7867 0.4481 1
Pd3 Pd 0.0361 0.8494 0.1880 1
Pd4 Pd 0.0483 0.7959 0.9397 1
```